[1]
Starting from a crystal structure in Alexandria, relaxed with PBE, the powder X-ray diffraction pattern of Na2Zn3InGe4 was calculated for Cu Kα X-rays.
Intensities are scaled so that the largest is 100.

Main lines, by angle (5° ≤ 2θ ≤ 70°):
index  2θ/deg  I/Imax
0 0 2  15.71  44
1 0 1  22.03  49
1 0 3  31.54  22
1 1 2  33.35  100
2 0 0  41.82  63
1 1 4  43.68  75
1 0 5  45.34  22
2 2 0  60.63  20
2 1 5  63.37  16
2 0 6  65.85  14

Cell and atoms:
abc: 4.3202 4.3202 11.2835
angles: 90.00 90.00 90.00
Space group P-4m2 (No. 115)
One atom of each set of equivalent atoms:
Na 0.0000 0.5000 0.2391
Zn 0.0000 0.5000 0.8658
Zn 0.5000 0.5000 0.5000
In 0.0000 0.0000 0.5000
Ge 0.0000 0.0000 0.0000
Ge 0.0000 0.5000 0.6462
Ge 0.5000 0.5000 0.0000

***

[2]
Starting from a crystal structure in Alexandria, relaxed with PBE, the powder X-ray diffraction pattern of Nd6InGe2 was calculated for Cu Kα X-rays.
Intensities are scaled so that the largest is 100.

Main lines, by angle (5° ≤ 2θ ≤ 70°):
index  2θ/deg  I/Imax
0 1 3  26.65  14
3 1 0  28.31  16
2 2 2  30.20  100
2 1 3  32.26  39
1 3 2  32.49  44
2 3 1  32.97  44
0 0 4  33.76  15
4 0 0  36.14  36
2 0 6  55.07  19
5 3 2  56.31  22

Cell and atoms:
abc: 9.9403 10.2235 10.6197
angles: 90.00 90.00 90.00
Space group Immm (No. 71)
One atom of each set of equivalent atoms:
Nd 0.0000 0.2025 0.2465
Nd 0.2059 0.5000 0.1755
Nd 0.2252 0.3181 0.5000
In 0.0000 0.0000 0.0000
In 0.0000 0.0000 0.5000
Ge 0.0000 0.3607 0.0000
Ge 0.0000 0.5000 0.3813

***

[3]
Starting from a crystal structure in Alexandria, relaxed with PBE, the powder X-ray diffraction pattern of Nd3In4Ge was calculated for Cu Kα X-rays.
Intensities are scaled so that the largest is 100.

Main lines, by angle (5° ≤ 2θ ≤ 70°):
index  2θ/deg  I/Imax
2 2 0  29.67  9
0 0 4  29.95  8
2 1 3  32.55  100
3 1 0  33.27  59
3 1 4  45.37  12
4 2 0  47.77  9
4 1 3  49.74  12
5 2 3  63.29  20
4 0 6  64.06  8
3 3 6  66.14  10

Cell and atoms:
abc: 8.5154 8.5154 11.9357
angles: 90.00 90.00 90.00
Space group I4/mcm (No. 140)
One atom of each set of equivalent atoms:
Nd 0.0000 0.0000 0.2500
Nd 0.1636 0.3364 0.0000
In 0.1430 0.3570 0.3210
Ge 0.0000 0.0000 0.0000

***

[4]
Starting from a crystal structure in Alexandria, relaxed with PBE, the powder X-ray diffraction pattern of Pr7In6Ni5Ge3 was calculated for Cu Kα X-rays.
Intensities are scaled so that the largest is 100.

Main lines, by angle (5° ≤ 2θ ≤ 70°):
index  2θ/deg  I/Imax
2 1 1  31.95  100
3 1 0  32.40  23
3 0 1  34.46  66
2 3 0  39.42  28
1 4 0  41.53  15
0 0 2  43.19  24
2 4 0  48.34  11
3 1 2  55.01  10
5 1 1  55.87  16
2 3 2  59.90  18

Cell and atoms:
abc: 11.5054 11.5054 4.1894
angles: 90.00 90.00 120.00
Space group P-6 (No. 174)
One atom of each set of equivalent atoms:
Pr 0.0000 0.0000 0.0000
Pr 0.0749 0.6960 0.0000
Pr 0.3785 0.0844 0.0000
In 0.1637 0.5192 0.5000
In 0.5149 0.3489 0.5000
Ni 0.2467 0.1641 0.5000
Ni 0.3333 0.6667 0.0000
Ni 0.6667 0.3333 0.0000
Ge 0.0776 0.2306 0.5000